Record 1
Starting from DFT lattice parameters and positions (GGA-PBE), the XRD peak list of AgSbSe2 was calculated for Cu Kα X-rays.
Neutral-atom scattering factors, no anomalous dispersion.

Cell and atoms:
Lattice parameters (Å, degrees): 4.1108 4.1108 19.8640 90.00 90.00 120.00
Element x y z (fractional)
1 Ag 0.0000 0.0000 0.0000
2 Ag 0.3333 0.6667 0.6667
3 Ag 0.6667 0.3333 0.3333
4 Sb 0.0000 0.0000 0.5000
5 Sb 0.3333 0.6667 0.1667
6 Sb 0.6667 0.3333 0.8333
7 Se 0.0000 0.0000 0.2520
8 Se 0.0000 0.0000 0.7480
9 Se 0.3333 0.6667 0.4147
10 Se 0.3333 0.6667 0.9187
11 Se 0.6667 0.3333 0.0813
12 Se 0.6667 0.3333 0.5853

Peak list (12 most intense, 10° ≤ 2θ ≤ 90°, in order of falling intensity)
| Position (°2θ) | I_rel |
| --- | --- |
| 30.91 | 100 |
| 44.06 | 37 |
| 44.49 | 36 |
| 54.78 | 19 |
| 72.82 | 16 |
| 73.45 | 16 |
| 81.33 | 12 |
| 64.40 | 12 |
| 81.03 | 6 |
| 55.51 | 6 |
| 82.24 | 6 |
| 26.60 | 5 |

---

Record 2
Starting from DFT lattice parameters and positions (GGA-PBE), the XRD peak list of AgSbSe2 was calculated for Cu Kα X-rays.
Neutral-atom scattering factors, no anomalous dispersion.

Cell and atoms:
Lattice parameters (Å, degrees): 4.0948 4.0948 5.7802 90.00 90.00 90.00
Element x y z (fractional)
1 Ag 0.0000 0.0000 0.0000
2 Sb 0.5000 0.5000 0.5000
3 Se 0.0000 0.0000 0.5000
4 Se 0.5000 0.5000 0.0000

Peak list (12 most intense, 10° ≤ 2θ ≤ 90°, in order of falling intensity)
| Position (°2θ) | I_rel |
| --- | --- |
| 30.90 | 100 |
| 44.27 | 73 |
| 54.96 | 25 |
| 81.47 | 24 |
| 73.09 | 21 |
| 73.20 | 11 |
| 64.35 | 8 |
| 26.68 | 7 |
| 64.48 | 4 |
| 52.44 | 3 |
| 70.99 | 1 |
| 87.56 | 1 |

---

Record 3
Starting from DFT lattice parameters and positions (GGA-PBE), the XRD peak list of AgSbTeSe was calculated for Cu Kα X-rays.
Neutral-atom scattering factors, no anomalous dispersion.

Cell and atoms:
Lattice parameters (Å, degrees): 4.1171 4.1171 6.2116 90.00 90.00 90.00
Element x y z (fractional)
1 Ag 0.0000 0.0000 0.0000
2 Sb 0.5000 0.5000 0.5000
3 Te 0.5000 0.5000 0.0000
4 Se 0.0000 0.0000 0.5000

Peak list (12 most intense, 10° ≤ 2θ ≤ 90°, in order of falling intensity)
| Position (°2θ) | I_rel |
| --- | --- |
| 30.71 | 100 |
| 42.56 | 81 |
| 28.74 | 59 |
| 53.40 | 41 |
| 43.99 | 37 |
| 79.89 | 25 |
| 68.48 | 19 |
| 71.59 | 17 |
| 72.62 | 16 |
| 76.90 | 14 |
| 63.96 | 12 |
| 59.53 | 7 |

---

Record 4
Starting from DFT lattice parameters and positions (GGA-PBE), the XRD peak list of Ag6SnSb was calculated for Cu Kα X-rays.
Neutral-atom scattering factors, no anomalous dispersion.

Cell and atoms:
Lattice parameters (Å, degrees): 4.8704 6.1447 5.2784 90.00 90.00 90.00
Element x y z (fractional)
1 Ag 0.0000 0.0000 0.0000
2 Ag 0.0000 0.2482 0.5091
3 Ag 0.0000 0.7518 0.5091
4 Ag 0.5000 0.2481 0.8265
5 Ag 0.5000 0.5000 0.3405
6 Ag 0.5000 0.7519 0.8265
7 Sn 0.5000 0.0000 0.3341
8 Sb 0.0000 0.5000 0.0013

Peak list (12 most intense, 10° ≤ 2θ ≤ 90°, in order of falling intensity)
| Position (°2θ) | I_rel |
| --- | --- |
| 38.62 | 100 |
| 38.81 | 53 |
| 36.91 | 39 |
| 33.76 | 27 |
| 73.16 | 19 |
| 67.64 | 18 |
| 60.65 | 17 |
| 50.88 | 16 |
| 74.01 | 15 |
| 33.97 | 11 |
| 72.79 | 10 |
| 67.77 | 10 |

---

Record 5
Starting from DFT lattice parameters and positions (GGA-PBE), the XRD peak list of SrAgSb was calculated for Cu Kα X-rays.
Neutral-atom scattering factors, no anomalous dispersion.

Cell and atoms:
Lattice parameters (Å, degrees): 5.5249 5.5249 6.5839 90.00 90.00 120.00
Element x y z (fractional)
1 Sr 0.3333 0.6667 0.2500
2 Sr 0.6667 0.3333 0.7500
3 Ag 0.0000 0.0000 0.0000
4 Ag 0.0000 0.0000 0.5000
5 Sb 0.3333 0.6667 0.7500
6 Sb 0.6667 0.3333 0.2500

Peak list (12 most intense, 10° ≤ 2θ ≤ 90°, in order of falling intensity)
| Position (°2θ) | I_rel |
| --- | --- |
| 32.41 | 100 |
| 33.03 | 87 |
| 58.21 | 32 |
| 46.95 | 32 |
| 66.08 | 24 |
| 57.81 | 18 |
| 77.56 | 14 |
| 84.61 | 12 |
| 67.85 | 11 |
| 42.73 | 8 |
| 55.86 | 7 |
| 86.58 | 5 |

---

Record 6
Starting from DFT lattice parameters and positions (GGA-PBE), the XRD peak list of SrAg4Sb2 was calculated for Cu Kα X-rays.
Neutral-atom scattering factors, no anomalous dispersion.

Cell and atoms:
Lattice parameters (Å, degrees): 8.9459 8.9459 8.9459 31.27 31.27 31.27
Element x y z (fractional)
1 Sr 0.0000 0.0000 0.0000
2 Ag 0.1421 0.1421 0.1421
3 Ag 0.4349 0.4349 0.4349
4 Ag 0.5651 0.5651 0.5651
5 Ag 0.8579 0.8579 0.8579
6 Sb 0.2542 0.2542 0.2542
7 Sb 0.7458 0.7458 0.7458

Peak list (12 most intense, 10° ≤ 2θ ≤ 90°, in order of falling intensity)
| Position (°2θ) | I_rel |
| --- | --- |
| 37.30 | 100 |
| 32.62 | 78 |
| 10.41 | 33 |
| 41.49 | 27 |
| 50.37 | 22 |
| 64.32 | 20 |
| 67.26 | 17 |
| 35.42 | 12 |
| 70.11 | 11 |
| 79.51 | 10 |
| 57.00 | 10 |
| 20.90 | 9 |

---

Record 7
Starting from DFT lattice parameters and positions (GGA-PBE), the XRD peak list of ScAg3 was calculated for Cu Kα X-rays.
Neutral-atom scattering factors, no anomalous dispersion.

Cell and atoms:
Lattice parameters (Å, degrees): 6.7203 6.7203 6.7203 90.00 90.00 90.00
Element x y z (fractional)
1 Sc 0.0000 0.0000 0.0000
2 Sc 0.0000 0.5000 0.5000
3 Sc 0.5000 0.0000 0.5000
4 Sc 0.5000 0.5000 0.0000
5 Ag 0.0000 0.0000 0.5000
6 Ag 0.0000 0.5000 0.0000
7 Ag 0.2500 0.2500 0.2500
8 Ag 0.2500 0.2500 0.7500
9 Ag 0.2500 0.7500 0.2500
10 Ag 0.2500 0.7500 0.7500
11 Ag 0.5000 0.0000 0.0000
12 Ag 0.5000 0.5000 0.5000
13 Ag 0.7500 0.2500 0.2500
14 Ag 0.7500 0.2500 0.7500
15 Ag 0.7500 0.7500 0.2500
16 Ag 0.7500 0.7500 0.7500

Peak list (12 most intense, 10° ≤ 2θ ≤ 90°, in order of falling intensity)
| Position (°2θ) | I_rel |
| --- | --- |
| 37.87 | 100 |
| 68.39 | 32 |
| 54.63 | 16 |
| 80.92 | 10 |
| 22.92 | 8 |
| 26.53 | 4 |
| 44.72 | 4 |
| 60.00 | 2 |
| 61.73 | 1 |
| 85.48 | 1 |
| 73.18 | 1 |
| 46.83 | 1 |

---

Record 8
Starting from DFT lattice parameters and positions (GGA-PBE), the XRD peak list of ScAg2 was calculated for Cu Kα X-rays.
Neutral-atom scattering factors, no anomalous dispersion.

Cell and atoms:
Lattice parameters (Å, degrees): 3.5813 3.5813 8.9662 90.00 90.00 90.00
Element x y z (fractional)
1 Sc 0.0000 0.0000 0.0000
2 Sc 0.5000 0.5000 0.5000
3 Ag 0.0000 0.0000 0.3346
4 Ag 0.0000 0.0000 0.6654
5 Ag 0.5000 0.5000 0.1654
6 Ag 0.5000 0.5000 0.8346

Peak list (12 most intense, 10° ≤ 2θ ≤ 90°, in order of falling intensity)
| Position (°2θ) | I_rel |
| --- | --- |
| 39.26 | 100 |
| 35.45 | 67 |
| 66.20 | 39 |
| 51.00 | 22 |
| 26.81 | 18 |
| 73.60 | 14 |
| 84.43 | 10 |
| 85.80 | 10 |
| 88.12 | 9 |
| 19.80 | 8 |
| 75.01 | 7 |
| 62.11 | 6 |

---

Record 9
Starting from DFT lattice parameters and positions (GGA-PBE), the XRD peak list of Sc2TcAg was calculated for Cu Kα X-rays.
Neutral-atom scattering factors, no anomalous dispersion.

Cell and atoms:
Lattice parameters (Å, degrees): 6.6485 6.6485 6.6485 90.00 90.00 90.00
Element x y z (fractional)
1 Sc 0.2500 0.2500 0.2500
2 Sc 0.2500 0.2500 0.7500
3 Sc 0.2500 0.7500 0.2500
4 Sc 0.2500 0.7500 0.7500
5 Sc 0.7500 0.2500 0.2500
6 Sc 0.7500 0.2500 0.7500
7 Sc 0.7500 0.7500 0.2500
8 Sc 0.7500 0.7500 0.7500
9 Tc 0.0000 0.0000 0.0000
10 Tc 0.0000 0.5000 0.5000
11 Tc 0.5000 0.0000 0.5000
12 Tc 0.5000 0.5000 0.0000
13 Ag 0.0000 0.0000 0.5000
14 Ag 0.0000 0.5000 0.0000
15 Ag 0.5000 0.0000 0.0000
16 Ag 0.5000 0.5000 0.5000

Peak list (8 most intense, 10° ≤ 2θ ≤ 90°, in order of falling intensity)
| Position (°2θ) | I_rel |
| --- | --- |
| 38.29 | 100 |
| 69.23 | 32 |
| 26.82 | 21 |
| 55.27 | 16 |
| 81.98 | 10 |
| 62.47 | 8 |
| 47.37 | 6 |
| 88.17 | 4 |

---

Record 10
Starting from DFT lattice parameters and positions (GGA-PBE), the XRD peak list of Sc6AgTe2 was calculated for Cu Kα X-rays.
Neutral-atom scattering factors, no anomalous dispersion.

Cell and atoms:
Lattice parameters (Å, degrees): 20.4867 3.8642 10.7886 90.00 90.00 90.00
Element x y z (fractional)
1 Sc 0.0101 0.2500 0.1091
2 Sc 0.0292 0.7500 0.3771
3 Sc 0.1074 0.2500 0.8285
4 Sc 0.1383 0.7500 0.0674
5 Sc 0.1617 0.2500 0.5370
6 Sc 0.2305 0.7500 0.7491
7 Sc 0.2695 0.2500 0.2491
8 Sc 0.3383 0.7500 0.0370
9 Sc 0.3617 0.2500 0.5674
10 Sc 0.3926 0.7500 0.3285
11 Sc 0.4708 0.2500 0.8771
12 Sc 0.4899 0.7500 0.6091
13 Sc 0.5101 0.2500 0.3909
14 Sc 0.5292 0.7500 0.1229
15 Sc 0.6074 0.2500 0.6715
16 Sc 0.6383 0.7500 0.4326
17 Sc 0.6617 0.2500 0.9630
18 Sc 0.7305 0.7500 0.7509
19 Sc 0.7695 0.2500 0.2509
20 Sc 0.8383 0.7500 0.4630
21 Sc 0.8617 0.2500 0.9326
22 Sc 0.8926 0.7500 0.1715
23 Sc 0.9708 0.2500 0.6229
24 Sc 0.9899 0.7500 0.8909
25 Ag 0.0760 0.7500 0.6422
26 Ag 0.4240 0.2500 0.1422
27 Ag 0.5760 0.7500 0.8578
28 Ag 0.9240 0.2500 0.3578
29 Te 0.1268 0.2500 0.2738
30 Te 0.2350 0.2500 0.9647
31 Te 0.2650 0.7500 0.4647
32 Te 0.3732 0.7500 0.7738
33 Te 0.6268 0.2500 0.2262
34 Te 0.7350 0.2500 0.5353
35 Te 0.7650 0.7500 0.0353
36 Te 0.8732 0.7500 0.7262

Peak list (12 most intense, 10° ≤ 2θ ≤ 90°, in order of falling intensity)
| Position (°2θ) | I_rel |
| --- | --- |
| 32.93 | 100 |
| 36.04 | 66 |
| 38.96 | 52 |
| 36.58 | 48 |
| 47.03 | 44 |
| 34.38 | 44 |
| 23.96 | 41 |
| 34.06 | 34 |
| 35.20 | 34 |
| 24.47 | 33 |
| 71.09 | 30 |
| 41.78 | 29 |

---

Record 11
Starting from DFT lattice parameters and positions (GGA-PBE), the XRD peak list of Sc2TlAg was calculated for Cu Kα X-rays.
Neutral-atom scattering factors, no anomalous dispersion.

Cell and atoms:
Lattice parameters (Å, degrees): 7.0512 7.0512 7.0512 90.00 90.00 90.00
Element x y z (fractional)
1 Sc 0.2500 0.2500 0.2500
2 Sc 0.2500 0.2500 0.7500
3 Sc 0.2500 0.7500 0.2500
4 Sc 0.2500 0.7500 0.7500
5 Sc 0.7500 0.2500 0.2500
6 Sc 0.7500 0.2500 0.7500
7 Sc 0.7500 0.7500 0.2500
8 Sc 0.7500 0.7500 0.7500
9 Tl 0.0000 0.0000 0.0000
10 Tl 0.0000 0.5000 0.5000
11 Tl 0.5000 0.0000 0.5000
12 Tl 0.5000 0.5000 0.0000
13 Ag 0.0000 0.0000 0.5000
14 Ag 0.0000 0.5000 0.0000
15 Ag 0.5000 0.0000 0.0000
16 Ag 0.5000 0.5000 0.5000

Peak list (12 most intense, 10° ≤ 2θ ≤ 90°, in order of falling intensity)
| Position (°2θ) | I_rel |
| --- | --- |
| 36.03 | 100 |
| 25.26 | 38 |
| 64.77 | 35 |
| 51.87 | 17 |
| 58.54 | 16 |
| 87.49 | 15 |
| 44.51 | 12 |
| 76.41 | 11 |
| 21.83 | 10 |
| 81.99 | 8 |
| 42.52 | 6 |
| 56.92 | 3 |

---

Record 12
Starting from DFT lattice parameters and positions (GGA-PBE), the XRD peak list of AgSe5 was calculated for Cu Kα X-rays.
Neutral-atom scattering factors, no anomalous dispersion.

Cell and atoms:
Lattice parameters (Å, degrees): 11.1551 11.1551 6.9100 105.05 105.05 119.83
Element x y z (fractional)
1 Ag 0.0163 0.9837 0.5000
2 Ag 0.9837 0.0163 0.0000
3 Se 0.0704 0.2089 0.8249
4 Se 0.2059 0.8536 0.1637
5 Se 0.2089 0.0704 0.3249
6 Se 0.6380 0.9437 0.4537
7 Se 0.6980 0.8324 0.1794
8 Se 0.7188 0.9559 0.9509
9 Se 0.8324 0.6980 0.6794
10 Se 0.8536 0.2059 0.6637
11 Se 0.9437 0.6380 0.9537
12 Se 0.9559 0.7188 0.4509

Peak list (12 most intense, 10° ≤ 2θ ≤ 90°, in order of falling intensity)
| Position (°2θ) | I_rel |
| --- | --- |
| 10.32 | 100 |
| 23.80 | 11 |
| 13.69 | 10 |
| 25.51 | 8 |
| 26.23 | 7 |
| 36.52 | 7 |
| 31.90 | 6 |
| 42.42 | 5 |
| 33.59 | 5 |
| 19.12 | 5 |
| 29.02 | 5 |
| 38.84 | 5 |